(1)
Diffraction record for La3Ni6Sn5. The X-ray diffraction stick pattern is theoretical, not measured: it uses DFT lattice parameters and positions (GGA-PBE) and Cu Kα (weighted mean of Kα1 and Kα2).
Neutral-atom scattering factors, no anomalous dispersion.

Largest 10 diffraction maxima, sorted by position, 2θ from 10° to 90°:
d 3.106, I 15
d 2.743, I 13
d 2.624, I 100
d 2.436, I 10
d 2.205, I 15
d 2.188, I 27
d 2.056, I 12
d 1.553, I 10
d 1.448, I 10
d 1.333, I 10

Structure:
```
data_La3Ni6Sn5
_chemical_formula_sum 'La6 Ni12 Sn10'
_cell_length_a 4.3754
_cell_length_b 13.2295
_cell_length_c 9.8172
_cell_angle_alpha 90.00
_cell_angle_beta 90.00
_cell_angle_gamma 90.00
_symmetry_space_group_name_H-M 'P 1'
_symmetry_Int_Tables_number 1
_symmetry_space_group_name_Hall 'P 1'
loop_
_atom_site_label
_atom_site_type_symbol
_atom_site_fract_x
_atom_site_fract_y
_atom_site_fract_z
La1 La 0.2500 0.0636 0.2455
La2 La 0.2500 0.4364 0.2455
La3 La 0.2500 0.7500 0.2718
La4 La 0.7500 0.2500 0.7282
La5 La 0.7500 0.5636 0.7545
La6 La 0.7500 0.9364 0.7545
Ni1 Ni 0.2500 0.0775 0.8715
Ni2 Ni 0.2500 0.2500 0.4583
Ni3 Ni 0.2500 0.2500 0.9819
Ni4 Ni 0.2500 0.4225 0.8715
Ni5 Ni 0.2500 0.6176 0.5217
Ni6 Ni 0.2500 0.8824 0.5217
Ni7 Ni 0.7500 0.1176 0.4783
Ni8 Ni 0.7500 0.3824 0.4783
Ni9 Ni 0.7500 0.5775 0.1285
Ni10 Ni 0.7500 0.7500 0.0181
Ni11 Ni 0.7500 0.7500 0.5417
Ni12 Ni 0.7500 0.9225 0.1285
Sn1 Sn 0.2500 0.0791 0.5998
Sn2 Sn 0.2500 0.4209 0.5998
Sn3 Sn 0.2500 0.6195 0.9900
Sn4 Sn 0.2500 0.7500 0.7094
Sn5 Sn 0.2500 0.8805 0.9900
Sn6 Sn 0.7500 0.1195 0.0100
Sn7 Sn 0.7500 0.2500 0.2906
Sn8 Sn 0.7500 0.3805 0.0100
Sn9 Sn 0.7500 0.5791 0.4002
Sn10 Sn 0.7500 0.9209 0.4002
```



(2)
Diffraction record for LaNi4Sn12. The X-ray diffraction stick pattern is theoretical, not measured: it uses DFT lattice parameters and positions (GGA-PBE) and Cu Kα (weighted mean of Kα1 and Kα2).
Neutral-atom scattering factors, no anomalous dispersion.

Largest 10 diffraction maxima, sorted by position, 2θ from 10° to 90°:
d 2.929, I 100
d 2.476, I 49
d 2.071, I 13
d 1.891, I 24
d 1.817, I 23
d 1.589, I 17
d 1.544, I 12
d 1.503, I 10
d 1.366, I 21
d 1.092, I 17

Structure:
```
data_LaNi4Sn12
_chemical_formula_sum 'La1 Ni4 Sn12'
_cell_length_a 8.0225
_cell_length_b 8.0225
_cell_length_c 8.0225
_cell_angle_alpha 109.47
_cell_angle_beta 109.47
_cell_angle_gamma 109.47
_symmetry_space_group_name_H-M 'P 1'
_symmetry_Int_Tables_number 1
_symmetry_space_group_name_Hall 'P 1'
loop_
_atom_site_label
_atom_site_type_symbol
_atom_site_fract_x
_atom_site_fract_y
_atom_site_fract_z
La1 La 0.0000 0.0000 0.0000
Ni1 Ni 0.0000 0.0000 0.5000
Ni2 Ni 0.0000 0.5000 0.0000
Ni3 Ni 0.5000 0.0000 0.0000
Ni4 Ni 0.5000 0.5000 0.5000
Sn1 Sn 0.1675 0.5052 0.3377
Sn2 Sn 0.1675 0.8299 0.6623
Sn3 Sn 0.1701 0.3377 0.8325
Sn4 Sn 0.3377 0.1675 0.5052
Sn5 Sn 0.3377 0.8325 0.1701
Sn6 Sn 0.4948 0.6623 0.8325
Sn7 Sn 0.5052 0.3377 0.1675
Sn8 Sn 0.6623 0.1675 0.8299
Sn9 Sn 0.6623 0.8325 0.4948
Sn10 Sn 0.8299 0.6623 0.1675
Sn11 Sn 0.8325 0.1701 0.3377
Sn12 Sn 0.8325 0.4948 0.6623
```



(3)
Diffraction record for LaNi2Sn2. The X-ray diffraction stick pattern is theoretical, not measured: it uses DFT lattice parameters and positions (GGA-PBE) and Cu Kα (weighted mean of Kα1 and Kα2).
Neutral-atom scattering factors, no anomalous dispersion.

Largest 10 diffraction maxima, sorted by position, 2θ from 10° to 90°:
d 2.719, I 68
d 2.701, I 100
d 2.247, I 74
d 1.994, I 23
d 1.864, I 22
d 1.732, I 36
d 1.589, I 25
d 1.504, I 15
d 1.435, I 19
d 1.370, I 24

Structure:
```
data_LaNi2Sn2
_chemical_formula_sum 'La2 Ni4 Sn4'
_cell_length_a 4.4946
_cell_length_b 4.4946
_cell_length_c 10.2442
_cell_angle_alpha 90.00
_cell_angle_beta 90.00
_cell_angle_gamma 90.00
_symmetry_space_group_name_H-M 'P 1'
_symmetry_Int_Tables_number 1
_symmetry_space_group_name_Hall 'P 1'
loop_
_atom_site_label
_atom_site_type_symbol
_atom_site_fract_x
_atom_site_fract_y
_atom_site_fract_z
La1 La 0.2500 0.2500 0.2394
La2 La 0.7500 0.7500 0.7606
Ni1 Ni 0.2500 0.2500 0.6284
Ni2 Ni 0.2500 0.7500 0.0000
Ni3 Ni 0.7500 0.2500 0.0000
Ni4 Ni 0.7500 0.7500 0.3716
Sn1 Sn 0.2500 0.2500 0.8760
Sn2 Sn 0.2500 0.7500 0.5000
Sn3 Sn 0.7500 0.2500 0.5000
Sn4 Sn 0.7500 0.7500 0.1240
```



(4)
Diffraction record for La3NiSn. The X-ray diffraction stick pattern is theoretical, not measured: it uses DFT lattice parameters and positions (GGA-PBE) and Cu Kα (weighted mean of Kα1 and Kα2).
Neutral-atom scattering factors, no anomalous dispersion.

Largest 10 diffraction maxima, sorted by position, 2θ from 10° to 90°:
d 3.269, I 13
d 2.909, I 19
d 2.850, I 100
d 2.173, I 25
d 1.887, I 23
d 1.668, I 20
d 1.583, I 15
d 1.574, I 14
d 1.209, I 9
d 1.152, I 10

Structure:
```
data_La3NiSn
_chemical_formula_sum 'La6 Ni2 Sn2'
_cell_length_a 7.5492
_cell_length_b 7.5492
_cell_length_c 5.8178
_cell_angle_alpha 90.00
_cell_angle_beta 90.00
_cell_angle_gamma 120.00
_symmetry_space_group_name_H-M 'P 1'
_symmetry_Int_Tables_number 1
_symmetry_space_group_name_Hall 'P 1'
loop_
_atom_site_label
_atom_site_type_symbol
_atom_site_fract_x
_atom_site_fract_y
_atom_site_fract_z
La1 La 0.1833 0.3665 0.2500
La2 La 0.1833 0.8167 0.2500
La3 La 0.3665 0.1833 0.7500
La4 La 0.6335 0.8167 0.2500
La5 La 0.8167 0.1833 0.7500
La6 La 0.8167 0.6335 0.7500
Ni1 Ni 0.0000 0.0000 0.0000
Ni2 Ni 0.0000 0.0000 0.5000
Sn1 Sn 0.3333 0.6667 0.7500
Sn2 Sn 0.6667 0.3333 0.2500
```